NaYF4: simulated powder diffractogram (a wavelength of 1.5418 Å), based on a GGA-PBE-relaxed structure.

Structural model:
abc: 6.0559 7.1586 12.0679
angles: 90.00 120.00 90.00
Space group Pc (No. 7)
Symmetry-distinct sites (fractional):
Na 0.0000 0.1523 0.0000 (multiplicity 2)
Na 0.3335 0.2531 0.8412 (multiplicity 2)
Na 0.9994 0.3452 0.5157 (multiplicity 2)
Y 0.3282 0.2480 0.3392 (multiplicity 2)
Y 0.6634 0.4992 0.1748 (multiplicity 2)
Y 0.6647 0.0031 0.6740 (multiplicity 2)
F 0.0681 0.4739 0.3518 (multiplicity 2)
F 0.0688 0.0193 0.3516 (multiplicity 2)
F 0.3057 0.4814 0.1969 (multiplicity 2)
F 0.3078 0.0189 0.1983 (multiplicity 2)
F 0.3879 0.2486 0.5524 (multiplicity 2)
F 0.4137 0.2468 0.0543 (multiplicity 2)
F 0.6098 0.4763 0.4711 (multiplicity 2)
F 0.6194 0.0231 0.4724 (multiplicity 2)
F 0.6856 0.2502 0.3094 (multiplicity 2)
F 0.6874 0.2505 0.8049 (multiplicity 2)
F 0.9034 0.2537 0.6675 (multiplicity 2)
F 0.9089 0.2481 0.1578 (multiplicity 2)

The 8 most intense peaks (10° ≤ 2θ ≤ 80°), sorted by position:
2θ = 16.94°, I 100, hkl 0 0 2; 2θ = 29.53°, I 55, hkl 2 0 -2; 2θ = 30.25°, I 97, hkl 1 2 -2; 2θ = 39.00°, I 33, hkl 1 2 -4; 2θ = 42.77°, I 72, hkl 2 2 -4; 2θ = 42.85°, I 37, hkl 0 2 4; 2θ = 52.81°, I 42, hkl 3 2 -2; 2θ = 52.93°, I 47, hkl 2 2 -6

Pm7Te2Pt2: simulated powder diffractogram (a wavelength of 1.5418 Å), based on a GGA-PBE-relaxed structure.

Structural model:
abc: 4.0393 16.3151 9.8803
angles: 90.00 90.00 90.00
Space group Imm2 (No. 44)
Symmetry-distinct sites (fractional):
Pm 0.0000 0.0000 0.0000 (multiplicity 2)
Pm 0.0000 0.1278 0.4162 (multiplicity 4)
Pm 0.0000 0.3178 0.6199 (multiplicity 4)
Pm 0.0000 0.3559 0.2638 (multiplicity 4)
Te 0.0000 0.0000 0.6654 (multiplicity 2)
Te 0.0000 0.5000 0.7611 (multiplicity 2)
Pt 0.0000 0.2383 0.9246 (multiplicity 4)

The 8 most intense peaks (10° ≤ 2θ ≤ 80°), sorted by position:
2θ = 10.85°, I 18, hkl 0 2 0; 2θ = 29.08°, I 33, hkl 1 1 2; 2θ = 31.76°, I 39, hkl 0 3 3; 2θ = 32.49°, I 100, hkl 1 4 1; 2θ = 33.04°, I 36, hkl 1 3 2; 2θ = 35.16°, I 20, hkl 1 0 3; 2θ = 36.90°, I 31, hkl 1 2 3; 2θ = 44.88°, I 25, hkl 2 0 0

Pa5Ge4: simulated powder diffractogram (a wavelength of 1.5418 Å), based on a GGA-PBE-relaxed structure.

Structural model:
abc: 8.8056 8.8056 6.0203
angles: 90.00 90.00 120.00
Space group P6_3/mcm (No. 193)
Symmetry-distinct sites (fractional):
Pa 0.0000 0.2848 0.2500 (multiplicity 6)
Pa 0.3333 0.6667 0.0000 (multiplicity 4)
Ge 0.0000 0.0000 0.0000 (multiplicity 2)
Ge 0.0000 0.3748 0.7500 (multiplicity 6)

The 8 most intense peaks (10° ≤ 2θ ≤ 80°), sorted by position:
2θ = 25.06°, I 36, hkl 1 1 1; 2θ = 34.50°, I 37, hkl 2 1 1; 2θ = 35.31°, I 89, hkl 3 0 0; 2θ = 36.15°, I 100, hkl 1 1 2; 2θ = 51.42°, I 32, hkl 2 2 2; 2θ = 63.93°, I 25, hkl 4 1 2; 2θ = 70.53°, I 15, hkl 5 1 1; 2θ = 73.06°, I 22, hkl 3 0 4

Li6MgPb2: simulated powder diffractogram (a wavelength of 1.5418 Å), based on a GGA-PBE-relaxed structure.

Structural model:
abc: 4.7792 4.7792 8.6625
angles: 90.00 90.00 120.00
Space group P-3m1 (No. 164)
Symmetry-distinct sites (fractional):
Li 0.0000 0.0000 0.1719 (multiplicity 2)
Li 0.3333 0.6667 0.0693 (multiplicity 2)
Li 0.3333 0.6667 0.3906 (multiplicity 2)
Mg 0.0000 0.0000 0.5000 (multiplicity 1)
Pb 0.3333 0.6667 0.7342 (multiplicity 2)

The 8 most intense peaks (10° ≤ 2θ ≤ 80°), sorted by position:
2θ = 20.51°, I 28, hkl 0 0 2; 2θ = 21.47°, I 17, hkl 1 0 0; 2θ = 23.83°, I 100, hkl 0 1 1; 2θ = 29.86°, I 25, hkl 0 1 2; 2θ = 37.64°, I 29, hkl 1 1 0; 2θ = 38.00°, I 36, hkl 1 0 3; 2θ = 43.24°, I 26, hkl 1 1 2; 2θ = 45.04°, I 19, hkl 2 0 1

Mg5SnPt6: simulated powder diffractogram (a wavelength of 1.5418 Å), based on a GGA-PBE-relaxed structure.

Structural model:
abc: 4.2127 12.6570 7.3295
angles: 90.00 90.00 90.00
Space group Cmmm (No. 65)
Symmetry-distinct sites (fractional):
Mg 0.0000 0.0000 0.0000 (multiplicity 2)
Mg 0.0000 0.3302 0.5000 (multiplicity 4)
Mg 0.0000 0.3337 0.0000 (multiplicity 4)
Sn 0.0000 0.0000 0.5000 (multiplicity 2)
Pt 0.0000 0.1677 0.2484 (multiplicity 8)
Pt 0.0000 0.5000 0.2486 (multiplicity 4)

The 8 most intense peaks (10° ≤ 2θ ≤ 80°), sorted by position:
2θ = 24.29°, I 35, hkl 0 0 2; 2θ = 29.97°, I 41, hkl 1 3 0; 2θ = 38.95°, I 100, hkl 1 3 2; 2θ = 42.90°, I 38, hkl 2 0 0; 2θ = 49.91°, I 21, hkl 2 0 2; 2θ = 62.29°, I 13, hkl 2 6 0; 2θ = 67.76°, I 20, hkl 2 0 4; 2θ = 75.95°, I 29, hkl 3 3 2

Bi2O5: simulated powder diffractogram (a wavelength of 1.5418 Å), based on a GGA-PBE-relaxed structure.

Structural model:
abc: 6.7849 7.8840 4.0238
angles: 90.00 90.00 90.00
Space group Pbam (No. 55)
Symmetry-distinct sites (fractional):
Bi 0.2261 0.1187 0.0000 (multiplicity 4)
O 0.0000 0.5000 0.0000 (multiplicity 2)
O 0.1067 0.8582 0.0000 (multiplicity 4)
O 0.1605 0.1711 0.5000 (multiplicity 4)

The 8 most intense peaks (10° ≤ 2θ ≤ 80°), sorted by position:
2θ = 22.09°, I 72, hkl 0 0 1; 2θ = 26.14°, I 87, hkl 1 2 0; 2θ = 26.27°, I 38, hkl 2 0 0; 2θ = 34.52°, I 100, hkl 1 2 1; 2θ = 46.28°, I 18, hkl 3 2 0; 2θ = 51.85°, I 26, hkl 3 2 1; 2θ = 52.86°, I 38, hkl 1 2 2; 2θ = 58.85°, I 18, hkl 2 4 1

Cs2LiAsF6: simulated powder diffractogram (a wavelength of 1.5418 Å), based on a GGA-PBE-relaxed structure.

Structural model:
abc: 6.2171 6.2171 8.8487
angles: 90.00 90.00 90.00
Space group I4/mmm (No. 139)
Symmetry-distinct sites (fractional):
Cs 0.0000 0.5000 0.2500 (multiplicity 4)
Li 0.0000 0.0000 0.0000 (multiplicity 2)
As 0.0000 0.0000 0.5000 (multiplicity 2)
F 0.0000 0.0000 0.2623 (multiplicity 4)
F 0.2395 0.2395 0.5000 (multiplicity 8)

The 8 most intense peaks (10° ≤ 2θ ≤ 80°), sorted by position:
2θ = 17.43°, I 16, hkl 1 0 1; 2θ = 20.20°, I 15, hkl 1 1 0; 2θ = 28.66°, I 100, hkl 2 0 0; 2θ = 35.29°, I 36, hkl 2 0 2; 2θ = 40.79°, I 14, hkl 0 0 4; 2θ = 41.06°, I 28, hkl 2 2 0; 2θ = 50.82°, I 27, hkl 3 1 2; 2θ = 59.26°, I 18, hkl 2 2 4

La3DyY2: simulated powder diffractogram (a wavelength of 1.5418 Å), based on a GGA-PBE-relaxed structure.

Structural model:
abc: 8.6555 3.7518 12.9088
angles: 90.00 90.19 90.00
Space group P2_1/m (No. 11)
Symmetry-distinct sites (fractional):
La 0.0841 0.2500 0.1130 (multiplicity 2)
La 0.3439 0.7500 0.5557 (multiplicity 2)
La 0.3912 0.7500 0.2453 (multiplicity 2)
Dy 0.1946 0.2500 0.7541 (multiplicity 2)
Y 0.0757 0.2500 0.3915 (multiplicity 2)
Y 0.3510 0.7500 0.9532 (multiplicity 2)

The 8 most intense peaks (10° ≤ 2θ ≤ 80°), sorted by position:
2θ = 29.27°, I 47, hkl 2 0 -3; 2θ = 29.40°, I 11, hkl 1 1 -2; 2θ = 29.55°, I 10, hkl 1 0 4; 2θ = 31.60°, I 100, hkl 0 1 3; 2θ = 31.79°, I 13, hkl 3 0 1; 2θ = 53.41°, I 11, hkl 2 1 -6; 2θ = 57.69°, I 14, hkl 2 2 -3; 2θ = 59.21°, I 11, hkl 5 1 1

Please write out number 8 again, unchanged.
La3DyY2: simulated powder diffractogram (a wavelength of 1.5418 Å), based on a GGA-PBE-relaxed structure.

Structural model:
abc: 8.6555 3.7518 12.9088
angles: 90.00 90.19 90.00
Space group P2_1/m (No. 11)
Symmetry-distinct sites (fractional):
La 0.0841 0.2500 0.1130 (multiplicity 2)
La 0.3439 0.7500 0.5557 (multiplicity 2)
La 0.3912 0.7500 0.2453 (multiplicity 2)
Dy 0.1946 0.2500 0.7541 (multiplicity 2)
Y 0.0757 0.2500 0.3915 (multiplicity 2)
Y 0.3510 0.7500 0.9532 (multiplicity 2)

The 8 most intense peaks (10° ≤ 2θ ≤ 80°), sorted by position:
2θ = 29.27°, I 47, hkl 2 0 -3; 2θ = 29.40°, I 11, hkl 1 1 -2; 2θ = 29.55°, I 10, hkl 1 0 4; 2θ = 31.60°, I 100, hkl 0 1 3; 2θ = 31.79°, I 13, hkl 3 0 1; 2θ = 53.41°, I 11, hkl 2 1 -6; 2θ = 57.69°, I 14, hkl 2 2 -3; 2θ = 59.21°, I 11, hkl 5 1 1